1.
For Mo2RuSe4, a crystal structure in the Materials Project, relaxed with GGA-PBE gives the calculated X-ray diffraction stick pattern in this record (CuKα).
Peak positions follow from Bragg's law for the DFT cell and can differ from measured ones.

Crystal structure
```
data_Mo2RuSe4
_chemical_formula_sum 'Mo4 Ru2 Se8'
_cell_length_a 6.735
_cell_length_b 6.750
_cell_length_c 6.761
_cell_angle_alpha 92.99
_cell_angle_beta 93.00
_cell_angle_gamma 93.72
_space_group_name_H-M_alt 'P 1'
_space_group_IT_number 1
_space_group_name_Hall 'P 1'
loop_
_atom_site_label
_atom_site_type_symbol
_atom_site_fract_x
_atom_site_fract_y
_atom_site_fract_z
Mo1 Mo 0.000 0.000 0.000
Mo2 Mo 0.130 0.688 0.177
Mo3 Mo 0.352 0.039 0.218
Mo4 Mo 0.819 0.866 0.311
Ru1 Ru 0.038 0.222 0.355
Ru2 Ru 0.170 0.905 0.533
Se1 Se 0.210 0.327 0.042
Se2 Se 0.322 0.824 0.888
Se3 Se 0.361 0.233 0.550
Se4 Se 0.454 0.719 0.395
Se5 Se 0.716 0.188 0.137
Se6 Se 0.795 0.665 0.980
Se7 Se 0.861 0.077 0.636
Se8 Se 0.956 0.580 0.503
```

Top 12 peaks for 2θ = 5–70°, low angle first:
| 2θ/deg | d_spacing | I/Imax | h k l |
| --- | --- | --- | --- |
| 13.2 | 6.726 | 100 | 1 0 0 |
| 32.2 | 2.780 | 15 | -1 1 2 |
| 39.0 | 2.309 | 23 | -2 1 2 |
| 39.3 | 2.295 | 12 | 1 2 -2 |
| 42.4 | 2.134 | 12 | 2 1 2 |
| 44.3 | 2.044 | 37 | 1 -1 3 |
| 44.7 | 2.029 | 17 | 3 1 -1 |
| 49.5 | 1.842 | 10 | 3 -2 1 |
| 49.6 | 1.840 | 9 | -2 1 3 |
| 49.7 | 1.835 | 10 | 2 2 2 |
| 49.8 | 1.830 | 9 | 1 3 -2 |
| 57.8 | 1.594 | 10 | 1 -1 4 |

=====

2.
For PuAs, a crystal structure in the Materials Project, relaxed with GGA-PBE gives the calculated X-ray diffraction stick pattern in this record (CuKα).
Peak positions follow from Bragg's law for the DFT cell and can differ from measured ones.

Crystal structure
```
data_PuAs
_chemical_formula_sum 'Pu1 As1'
_cell_length_a 3.526
_cell_length_b 3.526
_cell_length_c 3.526
_cell_angle_alpha 90.00
_cell_angle_beta 90.00
_cell_angle_gamma 90.00
_space_group_name_H-M_alt 'P m -3 m'
_space_group_IT_number 221
_space_group_name_Hall '-P 4 2 3'
loop_
_atom_site_label
_atom_site_type_symbol
_atom_site_fract_x
_atom_site_fract_y
_atom_site_fract_z
Pu1 Pu 0.000 0.000 0.000
As1 As 0.500 0.500 0.500
```

Top 6 peaks for 2θ = 5–70°, low angle first:
| 2θ/deg | d_spacing | I/Imax | h k l |
| --- | --- | --- | --- |
| 25.3 | 3.526 | 30 | 1 0 0 |
| 36.0 | 2.493 | 100 | 1 1 0 |
| 44.5 | 2.036 | 10 | 1 1 1 |
| 51.9 | 1.763 | 18 | 2 0 0 |
| 58.5 | 1.577 | 13 | 2 1 0 |
| 64.8 | 1.439 | 37 | 2 1 1 |

=====

3.
For Sr2U4O11, a crystal structure in the Materials Project, relaxed with GGA-PBE gives the calculated X-ray diffraction stick pattern in this record (CuKα).
Peak positions follow from Bragg's law for the DFT cell and can differ from measured ones.

Crystal structure
```
data_Sr2U4O11
_chemical_formula_sum 'Sr4 U8 O22'
_cell_length_a 20.073
_cell_length_b 3.849
_cell_length_c 6.824
_cell_angle_alpha 90.00
_cell_angle_beta 109.60
_cell_angle_gamma 90.00
_space_group_name_H-M_alt 'C 1 m 1'
_space_group_IT_number 8
_space_group_name_Hall 'C -2y'
loop_
_atom_site_label
_atom_site_type_symbol
_atom_site_fract_x
_atom_site_fract_y
_atom_site_fract_z
Sr1 Sr 0.000 0.000 0.000
Sr2 Sr 0.175 0.500 0.008
U1 U 0.168 0.000 0.492
U2 U 0.335 0.000 0.987
U3 U 0.338 0.500 0.500
U4 U 0.499 0.000 0.467
O1 O 0.040 0.000 0.378
O2 O 0.116 0.500 0.606
O3 O 0.130 0.000 0.162
O4 O 0.217 0.500 0.412
O5 O 0.219 0.000 0.841
O6 O 0.300 0.000 0.609
O7 O 0.304 0.500 0.138
O8 O 0.367 0.500 0.851
O9 O 0.380 0.000 0.379
O10 O 0.452 0.000 0.119
O11 O 0.464 0.500 0.616
```

Top 12 peaks for 2θ = 5–70°, low angle first:
| 2θ/deg | d_spacing | I/Imax | h k l |
| --- | --- | --- | --- |
| 13.8 | 6.423 | 19 | 0 0 1 |
| 27.8 | 3.214 | 34 | 0 0 2 |
| 28.3 | 3.156 | 100 | 3 1 -1 |
| 32.4 | 2.760 | 16 | 6 0 -2 |
| 32.7 | 2.738 | 32 | 3 1 1 |
| 46.4 | 1.958 | 22 | 3 1 -3 |
| 46.6 | 1.947 | 11 | 6 0 2 |
| 47.1 | 1.930 | 22 | 9 1 -1 |
| 47.2 | 1.924 | 11 | 0 2 0 |
| 55.1 | 1.666 | 10 | 3 1 3 |
| 55.3 | 1.660 | 10 | 9 1 -3 |
| 55.7 | 1.650 | 25 | 12 0 -2 |